Theoretical PXRD pattern of SrZnSiPt for Cu Kα (weighted mean of Kα1 and Kα2), from a DFT-relaxed cell (GGA-PBE, Alexandria).

Cell and atoms:
```
data_SrZnSiPt
_chemical_formula_sum 'Sr1 Zn1 Si1 Pt1'
_cell_length_a 5.6120
_cell_length_b 5.6120
_cell_length_c 5.6120
_cell_angle_alpha 134.60
_cell_angle_beta 132.22
_cell_angle_gamma 68.03
_space_group_name_H-M_alt 'P 1'
_space_group_IT_number 1
_space_group_name_Hall 'P 1'
loop_
_atom_site_label
_atom_site_type_symbol
_atom_site_fract_x
_atom_site_fract_y
_atom_site_fract_z
Sr1 Sr 0.0000 0.0000 0.0000
Zn1 Zn 0.3581 0.3581 0.0000
Si1 Si 0.7360 0.2360 0.5000
Pt1 Pt 0.6351 0.6351 0.0000
```

Principal peaks in the range 2θ = 10–90°, by angle:
d_spacing  Rel. int.
4.652  20
4.084  39
3.136  100
2.600  22
2.562  58
2.522  55
2.273  29
2.166  25
1.688  33
1.654  31


Theoretical PXRD pattern of Ta2Si2Pt for Cu Kα (weighted mean of Kα1 and Kα2), from a DFT-relaxed cell (GGA-PBE, Alexandria).

Cell and atoms:
```
data_Ta2Si2Pt
_chemical_formula_sum 'Ta4 Si4 Pt2'
_cell_length_a 6.3764
_cell_length_b 6.3764
_cell_length_c 3.7510
_cell_angle_alpha 90.00
_cell_angle_beta 90.00
_cell_angle_gamma 90.00
_space_group_name_H-M_alt 'P 1'
_space_group_IT_number 1
_space_group_name_Hall 'P 1'
loop_
_atom_site_label
_atom_site_type_symbol
_atom_site_fract_x
_atom_site_fract_y
_atom_site_fract_z
Ta1 Ta 0.1706 0.3294 0.0000
Ta2 Ta 0.3294 0.8294 0.0000
Ta3 Ta 0.6706 0.1706 0.0000
Ta4 Ta 0.8294 0.6706 0.0000
Si1 Si 0.1286 0.6286 0.5000
Si2 Si 0.3714 0.1286 0.5000
Si3 Si 0.6286 0.8714 0.5000
Si4 Si 0.8714 0.3714 0.5000
Pt1 Pt 0.0000 0.0000 0.5000
Pt2 Pt 0.5000 0.5000 0.5000
```

Principal peaks in the range 2θ = 10–90°, by angle:
d_spacing  Rel. int.
2.884  63
2.852  50
2.429  96
2.270  100
2.254  23
2.016  58
1.876  28
1.430  21
1.395  31
1.373  34


Question: What is the formula in the second record?
Answer: Ta2Si2Pt